(1)
Computed powder XRD pattern
Compound: Ba8AgP3Br3
Radiation: Cu Kα (weighted mean of Kα1 and Kα2)
Structure: a DFT-relaxed cell (GGA-PBE, Alexandria)
Intensities are scaled so that the largest is 100.

Main lines, in order of rising 2θ (10° ≤ 2θ ≤ 90°):
two_theta  I_rel
23.0  21
26.5  100
37.6  36
38.2  37
47.1  19
62.1  16

Crystal structure
abc: 9.5810 9.5810 9.5810
angles: 58.98 58.98 58.98
Fractional coordinates of all 15 atoms:
Ba: 0.2211 0.7537 0.7537
Ba: 0.2396 0.2396 0.2396
Ba: 0.2463 0.2463 0.7789
Ba: 0.2463 0.7789 0.2463
Ba: 0.7537 0.2211 0.7537
Ba: 0.7537 0.7537 0.2211
Ba: 0.7604 0.7604 0.7604
Ba: 0.7789 0.2463 0.2463
Ag: 0.5000 0.5000 0.5000
P: 0.0000 0.0000 0.5000
P: 0.0000 0.5000 0.0000
P: 0.5000 0.0000 0.0000
Br: 0.0000 0.5000 0.5000
Br: 0.5000 0.0000 0.5000
Br: 0.5000 0.5000 0.0000


(2)
Computed powder XRD pattern
Compound: Cs2K3TcO6
Radiation: Cu Kα (weighted mean of Kα1 and Kα2)
Structure: a DFT-relaxed cell (GGA-PBE, Alexandria)
Intensities are scaled so that the largest is 100.

Main lines, in order of rising 2θ (10° ≤ 2θ ≤ 90°):
two_theta  I_rel
15.2  57
26.1  25
27.5  66
28.2  31
30.7  23
33.0  100

Crystal structure
abc: 6.9668 6.9668 6.2940
angles: 100.63 100.63 121.26
Fractional coordinates of all 12 atoms:
Cs: 0.1704 0.8296 0.0000
Cs: 0.8296 0.1704 0.0000
K: 0.0000 0.0000 0.5000
K: 0.3566 0.6434 0.5000
K: 0.6434 0.3566 0.5000
Tc: 0.5000 0.5000 0.0000
O: 0.2103 0.4346 0.8013
O: 0.3258 0.3258 0.1800
O: 0.4346 0.2103 0.8013
O: 0.5654 0.7897 0.1987
O: 0.6742 0.6742 0.8200
O: 0.7897 0.5654 0.1987


(3)
Computed powder XRD pattern
Compound: Ba9Nb2CN10O
Radiation: Cu Kα (weighted mean of Kα1 and Kα2)
Structure: a DFT-relaxed cell (GGA-PBE, Alexandria)
Intensities are scaled so that the largest is 100.

Main lines, in order of rising 2θ (10° ≤ 2θ ≤ 90°):
two_theta  I_rel
27.4  52
28.1  86
28.5  100
29.3  62
29.7  45
31.4  71

Crystal structure
abc: 8.1179 9.7777 12.7777
angles: 76.03 85.71 87.77
Fractional coordinates of all 46 atoms:
Ba: 0.0015 0.3249 0.4181
Ba: 0.0314 0.3777 0.8730
Ba: 0.0363 0.0687 0.7247
Ba: 0.2354 0.2906 0.1579
Ba: 0.2433 0.9821 0.9960
Ba: 0.3259 0.4182 0.6180
Ba: 0.4653 0.7591 0.6184
Ba: 0.4846 0.9309 0.2764
Ba: 0.4873 0.6172 0.1076
Ba: 0.5127 0.3828 0.8924
Ba: 0.5154 0.0691 0.7236
Ba: 0.5347 0.2409 0.3816
Ba: 0.6741 0.5818 0.3820
Ba: 0.7567 0.0179 0.0040
Ba: 0.7646 0.7094 0.8421
Ba: 0.9637 0.9313 0.2753
Ba: 0.9686 0.6223 0.1270
Ba: 0.9985 0.6751 0.5819
Nb: 0.2306 0.6366 0.3365
Nb: 0.2315 0.7003 0.8786
Nb: 0.7685 0.2997 0.1214
Nb: 0.7694 0.3634 0.6635
C: 0.2403 0.0606 0.4660
C: 0.7597 0.9394 0.5340
N: 0.0051 0.3653 0.6204
N: 0.0423 0.8281 0.9136
N: 0.2001 0.0796 0.3713
N: 0.2115 0.6281 0.7470
N: 0.2379 0.5308 0.9984
N: 0.2580 0.7955 0.2053
N: 0.2868 0.0509 0.5580
N: 0.3021 0.4554 0.3000
N: 0.3588 0.6735 0.4526
N: 0.4383 0.8057 0.8767
N: 0.5617 0.1943 0.1233
N: 0.6412 0.3265 0.5474
N: 0.6979 0.5446 0.7000
N: 0.7132 0.9491 0.4420
N: 0.7420 0.2045 0.7947
N: 0.7621 0.4692 0.0016
N: 0.7885 0.3719 0.2530
N: 0.7999 0.9204 0.6287
N: 0.9577 0.1719 0.0864
N: 0.9949 0.6347 0.3796
O: 0.2815 0.1979 0.8216
O: 0.7185 0.8021 0.1784


(4)
Computed powder XRD pattern
Compound: Ba2CdHg12
Radiation: Cu Kα (weighted mean of Kα1 and Kα2)
Structure: a DFT-relaxed cell (GGA-PBE, Alexandria)
Intensities are scaled so that the largest is 100.

Main lines, in order of rising 2θ (10° ≤ 2θ ≤ 90°):
two_theta  I_rel
26.9  100
35.4  92
35.8  48
39.8  66
58.6  29
63.9  35

Crystal structure
abc: 7.1608 7.1608 17.5563
angles: 90.00 90.00 90.00
Fractional coordinates of all 30 atoms:
Ba: 0.2500 0.7500 0.2423
Ba: 0.2500 0.7500 0.7577
Ba: 0.7500 0.2500 0.2423
Ba: 0.7500 0.2500 0.7577
Cd: 0.2500 0.7500 0.0000
Cd: 0.7500 0.2500 0.0000
Hg: 0.0010 0.5010 0.0895
Hg: 0.0010 0.9990 0.9105
Hg: 0.0921 0.5921 0.4317
Hg: 0.0921 0.9079 0.5683
Hg: 0.2500 0.2500 0.1844
Hg: 0.2500 0.2500 0.3520
Hg: 0.2500 0.2500 0.6480
Hg: 0.2500 0.2500 0.8156
Hg: 0.4079 0.5921 0.5683
Hg: 0.4079 0.9079 0.4317
Hg: 0.4990 0.5010 0.9105
Hg: 0.4990 0.9990 0.0895
Hg: 0.5010 0.0010 0.9105
Hg: 0.5010 0.4990 0.0895
Hg: 0.5921 0.0921 0.5683
Hg: 0.5921 0.4079 0.4317
Hg: 0.7500 0.7500 0.1844
Hg: 0.7500 0.7500 0.3520
Hg: 0.7500 0.7500 0.6480
Hg: 0.7500 0.7500 0.8156
Hg: 0.9079 0.0921 0.4317
Hg: 0.9079 0.4079 0.5683
Hg: 0.9990 0.0010 0.0895
Hg: 0.9990 0.4990 0.9105


(5)
Computed powder XRD pattern
Compound: Y4Tm8Cd
Radiation: Cu Kα (weighted mean of Kα1 and Kα2)
Structure: a DFT-relaxed cell (GGA-PBE, Alexandria)
Intensities are scaled so that the largest is 100.

Main lines, in order of rising 2θ (10° ≤ 2θ ≤ 90°):
two_theta  I_rel
31.3  85
31.6  100
34.7  34
35.1  39
39.5  20
50.2  24

Crystal structure
abc: 6.2292 6.2292 13.7141
angles: 99.03 99.03 48.51
Fractional coordinates of all 13 atoms:
Y: 0.0882 0.0882 0.1367
Y: 0.3421 0.3421 0.4582
Y: 0.6579 0.6579 0.5418
Y: 0.9118 0.9118 0.8633
Tm: 0.0260 0.0260 0.3771
Tm: 0.2269 0.2269 0.9283
Tm: 0.2858 0.2858 0.6986
Tm: 0.4012 0.4012 0.2125
Tm: 0.5988 0.5988 0.7875
Tm: 0.7142 0.7142 0.3014
Tm: 0.7731 0.7731 0.0717
Tm: 0.9740 0.9740 0.6229
Cd: 0.5000 0.5000 0.0000


(6)
Computed powder XRD pattern
Compound: Nd9Sm3Dy2
Radiation: Cu Kα (weighted mean of Kα1 and Kα2)
Structure: a DFT-relaxed cell (GGA-PBE, Alexandria)
Intensities are scaled so that the largest is 100.

Main lines, in order of rising 2θ (10° ≤ 2θ ≤ 90°):
two_theta  I_rel
29.6  42
30.5  82
32.5  100
34.1  29
35.7  24
53.0  31

Crystal structure
abc: 9.1502 9.1502 13.9354
angles: 90.00 90.00 120.00
Fractional coordinates of all 28 atoms:
Nd: 0.0806 0.4805 0.2500
Nd: 0.1318 0.7245 0.0409
Nd: 0.1318 0.7245 0.4591
Nd: 0.2755 0.4073 0.0409
Nd: 0.2755 0.4073 0.4591
Nd: 0.3999 0.9194 0.2500
Nd: 0.4073 0.1318 0.5409
Nd: 0.4073 0.1318 0.9591
Nd: 0.4805 0.3999 0.7500
Nd: 0.5195 0.6001 0.2500
Nd: 0.5927 0.8682 0.0409
Nd: 0.5927 0.8682 0.4591
Nd: 0.6001 0.0806 0.7500
Nd: 0.7245 0.5927 0.5409
Nd: 0.7245 0.5927 0.9591
Nd: 0.8682 0.2755 0.5409
Nd: 0.8682 0.2755 0.9591
Nd: 0.9194 0.5195 0.7500
Sm: 0.0820 0.2511 0.7500
Sm: 0.1691 0.9180 0.7500
Sm: 0.2511 0.1691 0.2500
Sm: 0.7489 0.8309 0.7500
Sm: 0.8309 0.0820 0.2500
Sm: 0.9180 0.7489 0.2500
Dy: 0.3333 0.6667 0.6421
Dy: 0.3333 0.6667 0.8579
Dy: 0.6667 0.3333 0.1421
Dy: 0.6667 0.3333 0.3579


(7)
Computed powder XRD pattern
Compound: Ce2Cd2Hg2Pb
Radiation: Cu Kα (weighted mean of Kα1 and Kα2)
Structure: a DFT-relaxed cell (GGA-PBE, Alexandria)
Intensities are scaled so that the largest is 100.

Main lines, in order of rising 2θ (10° ≤ 2θ ≤ 90°):
two_theta  I_rel
31.6  100
32.1  49
35.0  89
36.9  22
37.8  41
50.4  27

Crystal structure
abc: 11.4082 4.7550 7.0868
angles: 90.00 101.38 90.00
Fractional coordinates of all 14 atoms:
Ce: 0.0996 0.0000 0.3192
Ce: 0.4004 0.5000 0.6808
Ce: 0.5996 0.5000 0.3192
Ce: 0.9004 0.0000 0.6808
Cd: 0.2116 0.0000 0.8615
Cd: 0.2884 0.5000 0.1385
Cd: 0.7116 0.5000 0.8615
Cd: 0.7884 0.0000 0.1385
Hg: 0.1211 0.5000 0.6298
Hg: 0.3789 0.0000 0.3702
Hg: 0.6211 0.0000 0.6298
Hg: 0.8789 0.5000 0.3702
Pb: 0.0000 0.5000 0.0000
Pb: 0.5000 0.0000 0.0000


(8)
Computed powder XRD pattern
Compound: SrLaZnAu
Radiation: Cu Kα (weighted mean of Kα1 and Kα2)
Structure: a DFT-relaxed cell (GGA-PBE, Alexandria)
Intensities are scaled so that the largest is 100.

Main lines, in order of rising 2θ (10° ≤ 2θ ≤ 90°):
two_theta  I_rel
11.7  29
32.9  54
33.2  100
47.2  20
58.9  38
59.4  16

Crystal structure
abc: 3.8525 3.8525 7.5826
angles: 90.00 90.00 90.00
Fractional coordinates of all 4 atoms:
Sr: 0.0000 0.0000 0.0000
La: 0.0000 0.0000 0.4947
Zn: 0.5000 0.5000 0.7263
Au: 0.5000 0.5000 0.2751